(1)
ZnSn2O4: theoretical PXRD pattern (Cu Ka), based on the GGA-PBE geometry in the Materials Project.
Lines closer than 0.1° are merged.

Largest 6 diffraction maxima, sorted by position, 2θ from 15° to 90°:
| 2θ (°) | d/Å | I/Imax |
| --- | --- | --- |
| 31.83 | 2.811 | 100 |
| 32.00 | 2.797 | 32 |
| 33.27 | 2.693 | 28 |
| 50.91 | 1.794 | 36 |
| 55.68 | 1.651 | 30 |
| 56.04 | 1.641 | 28 |

Lattice parameters (Å, degrees): 6.6027 6.6027 16.0333 90.00 90.00 120.00
Positions (direct):
Zn1 0.0000 0.0000 0.0000
Zn2 0.0000 0.0000 0.2352
Zn3 0.0000 0.0000 0.6167
Zn4 0.3333 0.6667 0.2847
Zn5 0.3333 0.6667 0.9030
Zn6 0.6667 0.3333 0.5729
Sn1 0.0084 0.5042 0.1169
Sn2 0.1652 0.3304 0.4512
Sn3 0.1652 0.8348 0.4512
Sn4 0.3302 0.1651 0.7848
Sn5 0.3333 0.6667 0.6666
Sn6 0.4958 0.5042 0.1169
Sn7 0.4958 0.9916 0.1169
Sn8 0.6667 0.3333 0.3269
Sn9 0.6667 0.3333 0.9521
Sn10 0.6696 0.8348 0.4512
Sn11 0.8349 0.1651 0.7848
Sn12 0.8349 0.6698 0.7848
O1 0.0000 0.0000 0.3726
O2 0.0000 0.0000 0.8633
O3 0.0045 0.5023 0.8492
O4 0.0483 0.5242 0.3769
O5 0.1377 0.2753 0.7080
O6 0.1377 0.8623 0.7080
O7 0.1813 0.3626 0.1979
O8 0.1813 0.8187 0.1979
O9 0.3112 0.1556 0.5289
O10 0.3330 0.1665 0.0489
O11 0.3333 0.6667 0.0352
O12 0.3333 0.6667 0.5165
O13 0.4758 0.5242 0.3769
O14 0.4758 0.9517 0.3769
O15 0.4977 0.5023 0.8492
O16 0.4977 0.9955 0.8492
O17 0.6374 0.8187 0.1979
O18 0.6667 0.3333 0.1739
O19 0.6667 0.3333 0.7084
O20 0.7247 0.8623 0.7080
O21 0.8335 0.1665 0.0489
O22 0.8335 0.6670 0.0489
O23 0.8444 0.1556 0.5289
O24 0.8444 0.6888 0.5289

=====

(2)
SmSe2: theoretical PXRD pattern (Cu Ka), based on the GGA-PBE geometry in the Materials Project.
Lines closer than 0.1° are merged.

Largest 6 diffraction maxima, sorted by position, 2θ from 15° to 90°:
| 2θ (°) | d/Å | I/Imax |
| --- | --- | --- |
| 23.97 | 3.712 | 47 |
| 30.66 | 2.916 | 36 |
| 32.45 | 2.759 | 68 |
| 37.37 | 2.407 | 100 |
| 38.48 | 2.339 | 58 |
| 43.90 | 2.062 | 57 |

Lattice parameters (Å, degrees): 4.1244 4.1244 8.5209 90.00 90.00 90.00
Positions (direct):
Sm1 0.2500 0.2500 0.2258
Sm2 0.7500 0.7500 0.7742
Se1 0.2500 0.2500 0.8678
Se2 0.2500 0.7500 0.5000
Se3 0.7500 0.2500 0.5000
Se4 0.7500 0.7500 0.1322

=====

(3)
HgO: theoretical PXRD pattern (Cu Ka), based on the GGA-PBE geometry in the Materials Project.
Lines closer than 0.1° are merged.

Largest 6 diffraction maxima, sorted by position, 2θ from 15° to 90°:
| 2θ (°) | d/Å | I/Imax |
| --- | --- | --- |
| 31.40 | 2.849 | 100 |
| 36.42 | 2.467 | 71 |
| 52.46 | 1.744 | 50 |
| 62.43 | 1.488 | 46 |
| 85.86 | 1.132 | 20 |
| 88.66 | 1.103 | 24 |

Lattice parameters (Å, degrees): 3.4887 3.4887 3.4887 60.00 60.00 60.00
Positions (direct):
Hg1 0.0000 0.0000 0.0000
O1 0.5000 0.5000 0.5000

=====

(4)
CsAl3P6O20: theoretical PXRD pattern (Cu Ka), based on the GGA-PBE geometry in the Materials Project.
Lines closer than 0.1° are merged.

Largest 6 diffraction maxima, sorted by position, 2θ from 15° to 90°:
| 2θ (°) | d/Å | I/Imax |
| --- | --- | --- |
| 19.50 | 4.552 | 34 |
| 21.91 | 4.056 | 50 |
| 22.69 | 3.919 | 90 |
| 22.80 | 3.901 | 100 |
| 26.30 | 3.389 | 50 |
| 31.87 | 2.808 | 40 |

Lattice parameters (Å, degrees): 12.3333 8.4424 8.4424 106.08 90.00 90.00
Positions (direct):
Cs1 0.0000 0.0000 0.0000
Cs2 0.5000 0.5000 0.5000
Al1 0.0000 0.3801 0.3801
Al2 0.2210 0.7773 0.3209
Al3 0.2790 0.2773 0.8209
Al4 0.5000 0.8801 0.8801
Al5 0.7210 0.8209 0.2773
Al6 0.7790 0.3209 0.7773
P1 0.0423 0.3793 0.7530
P2 0.1951 0.6377 0.9038
P3 0.2195 0.3791 0.2249
P4 0.2805 0.8791 0.7249
P5 0.3049 0.1377 0.4038
P6 0.4577 0.8793 0.2530
P7 0.5423 0.2530 0.8793
P8 0.6951 0.4038 0.1377
P9 0.7195 0.7249 0.8791
P10 0.7805 0.2249 0.3791
P11 0.8049 0.9038 0.6377
P12 0.9577 0.7530 0.3793
O1 0.0509 0.3830 0.5725
O2 0.0705 0.8029 0.3479
O3 0.0732 0.5681 0.8619
O4 0.1053 0.3047 0.2358
O5 0.1259 0.2648 0.7935
O6 0.1962 0.7822 0.8145
O7 0.2001 0.7174 0.0854
O8 0.2220 0.5565 0.3290
O9 0.2245 0.0066 0.3207
O10 0.2408 0.8460 0.5518
O11 0.2592 0.3460 0.0518
O12 0.2755 0.5066 0.8207
O13 0.2780 0.0565 0.8290
O14 0.2999 0.2174 0.5854
O15 0.3038 0.2822 0.3145
O16 0.3741 0.7648 0.2935
O17 0.3947 0.8047 0.7358
O18 0.4268 0.0680 0.3619
O19 0.4295 0.3029 0.8479
O20 0.4491 0.8830 0.0725
O21 0.5509 0.0725 0.8830
O22 0.5705 0.8479 0.3029
O23 0.5732 0.3619 0.0680
O24 0.6053 0.7358 0.8047
O25 0.6259 0.2935 0.7648
O26 0.6962 0.3145 0.2822
O27 0.7001 0.5854 0.2174
O28 0.7220 0.8290 0.0565
O29 0.7245 0.8207 0.5066
O30 0.7408 0.0518 0.3460
O31 0.7592 0.5518 0.8460
O32 0.7755 0.3207 0.0066
O33 0.7780 0.3290 0.5565
O34 0.7999 0.0854 0.7174
O35 0.8038 0.8145 0.7822
O36 0.8741 0.7935 0.2648
O37 0.8947 0.2358 0.3047
O38 0.9268 0.8619 0.5681
O39 0.9295 0.3479 0.8029
O40 0.9491 0.5725 0.3830

=====

(5)
CaEuZrTiO6: theoretical PXRD pattern (Cu Ka), based on the GGA-PBE geometry in the Materials Project.
Lines closer than 0.1° are merged.

Largest 6 diffraction maxima, sorted by position, 2θ from 15° to 90°:
| 2θ (°) | d/Å | I/Imax |
| --- | --- | --- |
| 19.10 | 4.647 | 32 |
| 31.43 | 2.846 | 100 |
| 37.04 | 2.427 | 20 |
| 45.05 | 2.012 | 36 |
| 55.96 | 1.643 | 38 |
| 65.61 | 1.423 | 21 |

Lattice parameters (Å, degrees): 5.6919 5.6919 5.6919 60.00 60.00 60.00
Positions (direct):
Ca1 0.0000 0.0000 0.0000
Eu1 0.5000 0.5000 0.5000
Zr1 0.2500 0.2500 0.2500
Ti1 0.7500 0.7500 0.7500
O1 0.5078 0.5078 0.9922
O2 0.5078 0.9922 0.5078
O3 0.5078 0.9922 0.9922
O4 0.9922 0.5078 0.5078
O5 0.9922 0.5078 0.9922
O6 0.9922 0.9922 0.5078

=====

(6)
CePr4O10: theoretical PXRD pattern (Cu Ka), based on the GGA-PBE geometry in the Materials Project.
Lines closer than 0.1° are merged.

Largest 6 diffraction maxima, sorted by position, 2θ from 15° to 90°:
| 2θ (°) | d/Å | I/Imax |
| --- | --- | --- |
| 27.25 | 3.273 | 100 |
| 31.67 | 2.826 | 19 |
| 45.16 | 2.008 | 37 |
| 45.39 | 1.998 | 18 |
| 53.35 | 1.717 | 16 |
| 53.75 | 1.705 | 30 |

Lattice parameters (Å, degrees): 6.9326 6.9326 6.9326 99.75 99.75 131.40
Positions (direct):
Ce1 0.0000 0.0000 0.0000
Pr1 0.2008 0.3997 0.6005
Pr2 0.3997 0.7992 0.1989
Pr3 0.6003 0.2008 0.8011
Pr4 0.7992 0.6003 0.3995
O1 0.0487 0.3381 0.9033
O2 0.1455 0.0487 0.7106
O3 0.2500 0.7500 0.5000
O4 0.3381 0.4348 0.2894
O5 0.4348 0.1455 0.0967
O6 0.5652 0.8545 0.9033
O7 0.6619 0.5652 0.7106
O8 0.7500 0.2500 0.5000
O9 0.8545 0.9513 0.2894
O10 0.9513 0.6619 0.0967

=====

(7)
CsBF4: theoretical PXRD pattern (Cu Ka), based on the GGA-PBE geometry in the Materials Project.
Lines closer than 0.1° are merged.

Largest 6 diffraction maxima, sorted by position, 2θ from 15° to 90°:
| 2θ (°) | d/Å | I/Imax |
| --- | --- | --- |
| 20.86 | 4.259 | 50 |
| 23.52 | 3.783 | 68 |
| 24.60 | 3.619 | 55 |
| 26.19 | 3.403 | 95 |
| 38.99 | 2.310 | 100 |
| 39.20 | 2.298 | 45 |

Lattice parameters (Å, degrees): 9.8003 5.9500 7.7893 90.00 90.00 90.00
Positions (direct):
Cs1 0.1911 0.2500 0.1615
Cs2 0.3089 0.7500 0.6615
Cs3 0.6911 0.2500 0.3385
Cs4 0.8089 0.7500 0.8385
B1 0.0523 0.2500 0.6980
B2 0.4477 0.7500 0.1980
B3 0.5523 0.2500 0.8020
B4 0.9477 0.7500 0.3020
F1 0.0718 0.0554 0.8024
F2 0.0718 0.4446 0.8024
F3 0.0817 0.7500 0.3683
F4 0.1500 0.2500 0.5641
F5 0.3500 0.7500 0.0641
F6 0.4183 0.2500 0.8683
F7 0.4282 0.5554 0.3024
F8 0.4282 0.9446 0.3024
F9 0.5718 0.0554 0.6976
F10 0.5718 0.4446 0.6976
F11 0.5817 0.7500 0.1317
F12 0.6500 0.2500 0.9359
F13 0.8500 0.7500 0.4359
F14 0.9183 0.2500 0.6317
F15 0.9282 0.5554 0.1976
F16 0.9282 0.9446 0.1976

=====

(8)
Y2Ga9Co3: theoretical PXRD pattern (Cu Ka), based on the GGA-PBE geometry in the Materials Project.
Lines closer than 0.1° are merged.

Largest 6 diffraction maxima, sorted by position, 2θ from 15° to 90°:
| 2θ (°) | d/Å | I/Imax |
| --- | --- | --- |
| 37.51 | 2.398 | 100 |
| 38.04 | 2.365 | 16 |
| 38.44 | 2.342 | 17 |
| 42.38 | 2.133 | 49 |
| 42.50 | 2.127 | 24 |
| 74.29 | 1.277 | 22 |

Lattice parameters (Å, degrees): 7.3747 7.3747 9.4616 90.00 90.00 60.18
Positions (direct):
Y1 0.0032 0.6681 0.7500
Y2 0.3319 0.9968 0.7500
Y3 0.6681 0.0032 0.2500
Y4 0.9968 0.3319 0.2500
Ga1 0.0005 0.6660 0.0714
Ga2 0.0005 0.6660 0.4286
Ga3 0.1213 0.8787 0.2500
Ga4 0.3341 0.6659 0.5573
Ga5 0.3341 0.6659 0.9427
Ga6 0.3340 0.9995 0.0714
Ga7 0.3340 0.9995 0.4286
Ga8 0.3362 0.4504 0.2500
Ga9 0.4504 0.3362 0.7500
Ga10 0.5496 0.6638 0.2500
Ga11 0.6638 0.5496 0.7500
Ga12 0.6660 0.0005 0.5714
Ga13 0.6660 0.0005 0.9286
Ga14 0.6659 0.3341 0.0573
Ga15 0.6659 0.3341 0.4427
Ga16 0.8787 0.1213 0.7500
Ga17 0.9995 0.3340 0.5714
Ga18 0.9995 0.3340 0.9286
Co1 0.0000 0.0000 0.0000
Co2 0.0000 0.0000 0.5000
Co3 0.3291 0.3291 0.0000
Co4 0.3291 0.3291 0.5000
Co5 0.6709 0.6709 0.0000
Co6 0.6709 0.6709 0.5000

=====

(9)
CeSmTl2: theoretical PXRD pattern (Cu Ka), based on the GGA-PBE geometry in the Materials Project.
Lines closer than 0.1° are merged.

Largest 6 diffraction maxima, sorted by position, 2θ from 15° to 90°:
| 2θ (°) | d/Å | I/Imax |
| --- | --- | --- |
| 32.78 | 2.732 | 100 |
| 47.04 | 1.932 | 18 |
| 58.52 | 1.577 | 39 |
| 68.72 | 1.366 | 12 |
| 78.24 | 1.222 | 17 |
| 87.45 | 1.115 | 4 |

Lattice parameters (Å, degrees): 5.4640 5.4640 5.4640 60.00 60.00 60.00
Positions (direct):
Ce1 0.0000 0.0000 0.0000
Sm1 0.5000 0.5000 0.5000
Tl1 0.2500 0.2500 0.2500
Tl2 0.7500 0.7500 0.7500

=====

(10)
TbTlP2Se6: theoretical PXRD pattern (Cu Ka), based on the GGA-PBE geometry in the Materials Project.
Lines closer than 0.1° are merged.

Largest 6 diffraction maxima, sorted by position, 2θ from 15° to 90°:
| 2θ (°) | d/Å | I/Imax |
| --- | --- | --- |
| 24.73 | 3.600 | 92 |
| 28.91 | 3.089 | 95 |
| 29.87 | 2.992 | 89 |
| 30.90 | 2.894 | 100 |
| 34.45 | 2.603 | 63 |
| 34.86 | 2.574 | 66 |

Lattice parameters (Å, degrees): 6.8825 7.6742 10.4144 90.00 91.08 90.00
Positions (direct):
Tb1 0.2168 0.0000 0.0022
Tb2 0.7832 0.5000 0.9978
Tl1 0.3151 0.2224 0.5076
Tl2 0.6849 0.7224 0.4924
P1 0.1902 0.7303 0.2944
P2 0.3130 0.5121 0.1739
P3 0.6870 0.0121 0.8261
P4 0.8098 0.2303 0.7056
Se1 0.0662 0.3080 0.8301
Se2 0.0763 0.3129 0.1677
Se3 0.1536 0.6380 0.4884
Se4 0.3714 0.6370 0.9829
Se5 0.3996 0.9409 0.2666
Se6 0.4099 0.9158 0.7462
Se7 0.5901 0.4158 0.2538
Se8 0.6004 0.4409 0.7334
Se9 0.6286 0.1370 0.0171
Se10 0.8464 0.1380 0.5116
Se11 0.9237 0.8129 0.8323
Se12 0.9338 0.8080 0.1699